Calculated PXRD pattern of NbSi2 for a wavelength of 1.5418 Å, from DFT lattice parameters and positions (PBE).
Lines closer than 0.1° are merged.

```
NbSi2
1.0
4.813 0.000 0.000
-2.406 4.168 0.000
0.000 0.000 6.610
Nb Si
3 6
Direct
0.000 0.500 0.167 Nb
0.500 0.000 0.500 Nb
0.500 0.500 0.833 Nb
0.159 0.318 0.500 Si
0.159 0.841 0.833 Si
0.318 0.159 0.167 Si
0.682 0.841 0.167 Si
0.841 0.159 0.833 Si
0.841 0.682 0.500 Si
```

Largest 10 diffraction maxima, low angle first, 2θ from 5° to 70°:
2θ/deg, intensity
25.26, 68
34.64, 30
37.37, 15
39.87, 100
40.96, 35
43.42, 17
46.69, 65
61.22, 12
68.93, 19
69.09, 19

---

Calculated PXRD pattern of Al3CoW9C3 for a wavelength of 1.5418 Å, from DFT lattice parameters and positions (PBE).
Lines closer than 0.1° are merged.

```
Al3CoW9C3
1.0
7.942 0.000 0.000
-3.971 6.878 0.000
0.000 0.000 7.852
Al Co W C
6 2 18 6
Direct
0.110 0.220 0.250 Al
0.110 0.890 0.250 Al
0.220 0.110 0.750 Al
0.780 0.890 0.250 Al
0.890 0.110 0.750 Al
0.890 0.780 0.750 Al
0.000 0.000 0.000 Co
0.000 0.000 0.500 Co
0.103 0.551 0.250 W
0.204 0.408 0.571 W
0.204 0.408 0.929 W
0.204 0.796 0.571 W
0.204 0.796 0.929 W
0.408 0.204 0.071 W
0.408 0.204 0.429 W
0.449 0.551 0.250 W
0.449 0.897 0.250 W
0.551 0.103 0.750 W
0.551 0.449 0.750 W
0.592 0.796 0.571 W
0.592 0.796 0.929 W
0.796 0.204 0.071 W
0.796 0.204 0.429 W
0.796 0.592 0.071 W
0.796 0.592 0.429 W
0.897 0.449 0.750 W
0.000 0.500 0.000 C
0.000 0.500 0.500 C
0.500 0.000 0.000 C
0.500 0.000 0.500 C
0.500 0.500 0.000 C
0.500 0.500 0.500 C
```

Largest 10 diffraction maxima, low angle first, 2θ from 5° to 70°:
2θ/deg, intensity
12.87, 39
28.33, 33
34.50, 54
34.68, 54
36.74, 87
39.30, 40
41.01, 100
41.67, 81
43.45, 53
69.57, 60

---

Calculated PXRD pattern of KZrAgTeSeS for a wavelength of 1.5418 Å, from DFT lattice parameters and positions (PBE).
Lines closer than 0.1° are merged.

```
KZrAgTeSeS
1.0
8.470 0.000 0.000
0.000 4.031 0.000
-3.617 0.000 9.462
K Zr Ag Te Se S
2 2 2 2 2 2
Direct
0.219 0.250 0.204 K
0.781 0.750 0.796 K
0.174 0.750 0.654 Zr
0.826 0.250 0.346 Zr
0.421 0.250 0.894 Ag
0.579 0.750 0.106 Ag
0.414 0.250 0.621 Te
0.586 0.750 0.379 Te
0.227 0.750 0.932 Se
0.773 0.250 0.068 Se
0.033 0.750 0.373 S
0.967 0.250 0.627 S
```

Largest 10 diffraction maxima, low angle first, 2θ from 5° to 70°:
2θ/deg, intensity
11.18, 41
11.74, 100
25.06, 39
30.65, 46
31.69, 59
34.68, 41
40.89, 23
43.20, 51
44.98, 28
48.44, 21

---

Calculated PXRD pattern of GdTlSeO for a wavelength of 1.5418 Å, from DFT lattice parameters and positions (PBE).
Lines closer than 0.1° are merged.

```
GdTlSeO
1.0
2.735 -2.734 0.000
2.735 2.734 0.000
-0.449 0.000 12.166
Gd Tl Se O
2 2 2 2
Direct
0.242 0.242 0.405 Gd
0.758 0.758 0.595 Gd
0.216 0.277 0.112 Tl
0.723 0.784 0.888 Tl
0.252 0.265 0.747 Se
0.735 0.748 0.253 Se
0.250 0.750 0.500 O
0.750 0.250 0.500 O
```

Largest 10 diffraction maxima, low angle first, 2θ from 5° to 70°:
2θ/deg, intensity
23.97, 21
24.34, 23
31.56, 100
32.41, 94
32.76, 97
44.55, 18
47.02, 40
57.18, 24
57.72, 17
58.81, 24

---

Calculated PXRD pattern of La2AgHg4Au for a wavelength of 1.5418 Å, from DFT lattice parameters and positions (PBE).
Lines closer than 0.1° are merged.

```
La2AgHg4Au
1.0
8.039 0.000 0.000
0.000 2.330 5.319
0.000 -2.330 5.319
La Ag Hg Au
2 1 4 1
Direct
0.000 0.000 0.000 La
0.500 0.158 0.158 La
0.000 0.294 0.294 Ag
0.193 0.710 0.710 Hg
0.302 0.445 0.445 Hg
0.698 0.445 0.445 Hg
0.807 0.710 0.710 Hg
0.500 0.861 0.861 Au
```

Largest 10 diffraction maxima, low angle first, 2θ from 5° to 70°:
2θ/deg, intensity
30.55, 100
31.71, 20
33.67, 87
37.59, 34
38.65, 49
39.00, 43
39.72, 44
40.68, 22
55.01, 23
66.99, 20

---

Calculated PXRD pattern of Cd2Au9 for a wavelength of 1.5418 Å, from DFT lattice parameters and positions (PBE).
Lines closer than 0.1° are merged.

```
Cd2Au9
1.0
2.919 0.000 0.000
-1.460 2.528 0.000
0.000 0.000 31.865
Cd Au
2 9
Direct
0.333 0.667 0.391 Cd
0.667 0.333 0.609 Cd
0.000 0.000 0.000 Au
0.000 0.000 0.230 Au
0.000 0.000 0.770 Au
0.333 0.667 0.153 Au
0.333 0.667 0.693 Au
0.333 0.667 0.924 Au
0.667 0.333 0.076 Au
0.667 0.333 0.307 Au
0.667 0.333 0.847 Au
```

Largest 10 diffraction maxima, low angle first, 2θ from 5° to 70°:
2θ/deg, intensity
5.55, 85
8.32, 10
36.66, 42
37.32, 100
38.30, 42
42.34, 33
44.01, 60
61.59, 24
63.77, 30
64.23, 9

---

Calculated PXRD pattern of DyIn3C3 for a wavelength of 1.5418 Å, from DFT lattice parameters and positions (PBE).
Lines closer than 0.1° are merged.

```
DyIn3C3
1.0
3.739 0.000 0.000
-1.870 3.238 0.000
0.000 0.000 19.125
Dy In C
2 6 6
Direct
0.000 0.000 0.000 Dy
0.000 0.000 0.500 Dy
0.333 0.667 0.124 In
0.333 0.667 0.376 In
0.333 0.667 0.750 In
0.667 0.333 0.250 In
0.667 0.333 0.624 In
0.667 0.333 0.876 In
0.333 0.667 0.250 C
0.333 0.667 0.576 C
0.333 0.667 0.924 C
0.667 0.333 0.076 C
0.667 0.333 0.424 C
0.667 0.333 0.750 C
```

Largest 10 diffraction maxima, low angle first, 2θ from 5° to 70°:
2θ/deg, intensity
29.11, 100
30.97, 88
33.42, 70
36.35, 70
37.62, 46
39.68, 53
48.71, 74
55.83, 16
60.40, 30
63.13, 59

---

Calculated PXRD pattern of DyY2Si4Au4 for a wavelength of 1.5418 Å, from DFT lattice parameters and positions (PBE).
Lines closer than 0.1° are merged.

```
DyY2Si4Au4
1.0
-2.065 2.120 12.541
2.065 -2.120 12.541
2.065 2.120 -12.541
Dy Y Si Au
1 2 4 4
Direct
0.000 0.000 0.000 Dy
0.353 0.853 0.500 Y
0.647 0.147 0.500 Y
0.190 0.690 0.500 Si
0.453 0.453 0.000 Si
0.547 0.547 0.000 Si
0.810 0.310 0.500 Si
0.093 0.593 0.500 Au
0.252 0.252 0.000 Au
0.748 0.748 0.000 Au
0.907 0.407 0.500 Au
```

Largest 10 diffraction maxima, low angle first, 2θ from 5° to 70°:
2θ/deg, intensity
21.25, 31
27.98, 15
33.10, 22
33.49, 100
41.99, 13
42.65, 20
43.84, 18
45.15, 16
62.82, 13
67.64, 13

---

Calculated PXRD pattern of Ni2GeTe for a wavelength of 1.5418 Å, from DFT lattice parameters and positions (PBE).
Lines closer than 0.1° are merged.

```
Ni2GeTe
1.0
3.945 0.000 0.000
0.000 7.122 0.000
0.000 0.000 4.811
Ni Ge Te
4 2 2
Direct
0.000 0.154 0.000 Ni
0.000 0.795 0.833 Ni
0.500 0.205 0.333 Ni
0.500 0.846 0.500 Ni
0.000 0.072 0.518 Ge
0.500 0.928 0.018 Ge
0.000 0.633 0.343 Te
0.500 0.367 0.843 Te
```

Largest 10 diffraction maxima, low angle first, 2θ from 5° to 70°:
2θ/deg, intensity
31.25, 48
31.92, 36
33.92, 72
37.38, 17
38.88, 21
39.54, 24
46.00, 100
48.60, 47
51.34, 19
56.68, 19

---

Calculated PXRD pattern of Tm6InCu2 for a wavelength of 1.5418 Å, from DFT lattice parameters and positions (PBE).
Lines closer than 0.1° are merged.

```
Tm6InCu2
1.0
-4.637 4.826 5.062
4.637 -4.826 5.062
4.637 4.826 -5.062
Tm In Cu
12 2 4
Direct
0.038 0.238 0.800 Tm
0.186 0.284 0.470 Tm
0.186 0.716 0.902 Tm
0.322 0.018 0.696 Tm
0.322 0.626 0.304 Tm
0.438 0.238 0.200 Tm
0.562 0.762 0.800 Tm
0.678 0.374 0.696 Tm
0.678 0.982 0.304 Tm
0.814 0.284 0.098 Tm
0.814 0.716 0.530 Tm
0.962 0.762 0.200 Tm
0.000 0.000 0.000 In
0.500 0.500 0.000 In
0.120 0.620 0.500 Cu
0.348 0.000 0.348 Cu
0.652 0.000 0.652 Cu
0.880 0.380 0.500 Cu
```

Largest 10 diffraction maxima, low angle first, 2θ from 5° to 70°:
2θ/deg, intensity
28.01, 16
30.36, 24
32.08, 100
34.15, 36
34.42, 52
35.09, 36
35.47, 17
35.61, 18
38.85, 21
60.45, 26